Simulated powder X-ray diffraction pattern
Compound: La7Tl
Radiation: Cu Kα (weighted mean of Kα1 and Kα2)
Structure: a GGA-PBE-relaxed structure

Structure:
```
La7Tl
1.0
0.000 5.148 5.148
5.148 0.000 5.148
5.148 5.148 0.000
La Tl
7 1
Direct
0.000 0.000 0.000
0.000 0.000 0.500
0.000 0.500 0.000
0.000 0.500 0.500
0.500 0.000 0.000
0.500 0.000 0.500
0.500 0.500 0.000
0.500 0.500 0.500
```

Main lines, in order of rising 2θ (2θ = 5–70°):
2θ/deg	Rel. int.
14.90	1.4
17.23	0.8
24.45	0.7
28.76	1.0
30.07	100.0
34.86	50.7
50.12	36.2
59.56	43.1
62.50	12.4

=====

Simulated powder X-ray diffraction pattern
Compound: BaGeTe2O8
Radiation: Cu Kα (weighted mean of Kα1 and Kα2)
Structure: a GGA-PBE-relaxed structure

Structure:
```
BaGeTe2O8
1.0
4.196 -3.126 0.000
4.196 3.126 0.000
-0.269 0.000 7.703
Ba Ge Te O
1 1 2 8
Direct
0.000 0.000 0.000
0.000 0.000 0.500
0.397 0.397 0.340
0.603 0.603 0.660
0.187 0.775 0.315
0.225 0.813 0.685
0.228 0.228 0.495
0.315 0.315 0.116
0.685 0.685 0.884
0.772 0.772 0.505
0.775 0.187 0.315
0.813 0.225 0.685
```

Main lines, in order of rising 2θ (2θ = 5–70°):
2θ/deg	Rel. int.
11.49	32.6
20.94	100.0
21.19	48.8
28.56	61.5
29.54	76.9
35.16	35.7
42.63	25.3
43.14	24.8
50.41	25.0
51.19	27.1

=====

Simulated powder X-ray diffraction pattern
Compound: BaCa2SmAg4
Radiation: Cu Kα (weighted mean of Kα1 and Kα2)
Structure: a GGA-PBE-relaxed structure

Structure:
```
BaCa2SmAg4
1.0
2.662 1.537 9.174
-2.662 1.537 9.174
0.000 -3.074 9.174
Ba Ca Sm Ag
1 2 1 4
Direct
0.000 0.000 0.000
0.244 0.244 0.244
0.756 0.756 0.756
0.500 0.500 0.500
0.130 0.130 0.130
0.389 0.389 0.389
0.611 0.611 0.611
0.870 0.870 0.870
```

Main lines, in order of rising 2θ (2θ = 5–70°):
2θ/deg	Rel. int.
9.64	7.0
20.31	25.5
32.47	93.9
33.67	100.0
38.08	10.1
41.04	7.4
47.48	31.4
57.15	10.9
59.46	31.2
60.22	17.6